Theoretical X-ray powder pattern
Compound: Tb4Ag2Pd
Radiation: CuKα
Structure: a PBE-relaxed structure
Intensities are scaled so that the largest is 100.

The 8 most intense peaks (2θ from 10° to 90°), in order of rising 2θ:
d = 3.582 Å, 2θ = 24.86°, rel. 11.6
d = 2.533 Å, 2θ = 35.44°, rel. 100.0
d = 2.068 Å, 2θ = 43.78°, rel. 3.6
d = 1.791 Å, 2θ = 51.00°, rel. 17.5
d = 1.602 Å, 2θ = 57.54°, rel. 5.1
d = 1.462 Å, 2θ = 63.64°, rel. 35.5
d = 1.266 Å, 2θ = 75.00°, rel. 10.9
d = 1.133 Å, 2θ = 85.79°, rel. 15.7

Cell and atoms:
```
Tb4Ag2Pd
1.0
2.5316 1.4616 8.2780
-2.5316 1.4616 8.2780
0.0000 -2.9233 8.2780
Tb Ag Pd
4 2 1
direct
0.1239 0.1239 0.1239 Tb
0.3738 0.3738 0.3738 Tb
0.6262 0.6262 0.6262 Tb
0.8761 0.8761 0.8761 Tb
0.2472 0.2472 0.2472 Ag
0.7528 0.7528 0.7528 Ag
0.0000 0.0000 0.0000 Pd
```